PrMnP2Os: theoretical XRD peak list (copper Kα), based on DFT lattice parameters and positions (PBE).
Kinematic intensities with the Lorentz-polarization factor, no thermal factor.

Unit cell a=5.807 b=5.807 c=5.807 alpha=139.31 beta=139.31 gamma=58.90
Sites, in units of the cell vectors:
Pr: 0.000 0.000 0.000
Mn: 0.250 0.750 0.500
P: 0.360 0.360 0.000
P: 0.640 0.640 0.000
Os: 0.750 0.250 0.500

Main lines, in order of rising 2θ (5 to 70 degrees two-theta):
2θ/deg	d_spacing	I/Imax
17.5	5.057	14
23.7	3.750	56
34.7	2.588	44
35.5	2.528	20
36.1	2.486	100
44.9	2.019	38
51.4	1.778	15
57.9	1.592	20
58.5	1.578	19
64.2	1.452	23